Record 1
This entry pairs a crystal structure of YPdPb2 with its computed PXRD pattern. Radiation: Cu Ka. Structure: a GGA-PBE-relaxed structure.

Structural model:
```
data_YPdPb2
_cell_length_a 7.368
_cell_length_b 7.368
_cell_length_c 7.368
_cell_angle_alpha 90.00
_cell_angle_beta 90.00
_cell_angle_gamma 90.00
_symmetry_space_group_name_H-M 'F -4 3 m'
_symmetry_Int_Tables_number 216
_symmetry_space_group_name_Hall 'F -4 2 3'
loop_
_atom_site_label
_atom_site_type_symbol
_atom_site_fract_x
_atom_site_fract_y
_atom_site_fract_z
Y1 Y 0.000 0.000 0.000
Pd1 Pd 0.250 0.250 0.250
Pb1 Pb 0.000 0.000 0.500
Pb2 Pb 0.250 0.250 0.750
```

The 9 most intense peaks (2θ = 10–80°), low angle first:
20.88 deg, d = 4.254 Å, intensity 13, (1 1 1)
34.43 deg, d = 2.605 Å, intensity 100, (2 2 0)
40.61 deg, d = 2.222 Å, intensity 8, (3 1 1)
49.48 deg, d = 1.842 Å, intensity 18, (4 0 0)
54.27 deg, d = 1.690 Å, intensity 4, (3 3 1)
61.67 deg, d = 1.504 Å, intensity 38, (4 2 2)
65.86 deg, d = 1.418 Å, intensity 3, (5 1 1)
72.58 deg, d = 1.303 Å, intensity 12, (4 4 0)
76.48 deg, d = 1.245 Å, intensity 3, (5 3 1)

***

Record 2
This entry pairs a crystal structure of CsAg3Te4Pb with its computed PXRD pattern. Radiation: Cu Ka. Structure: a GGA-PBE-relaxed structure.

Structural model:
```
data_CsAg3Te4Pb
_cell_length_a 7.185
_cell_length_b 7.185
_cell_length_c 7.185
_cell_angle_alpha 90.00
_cell_angle_beta 90.00
_cell_angle_gamma 90.00
_symmetry_space_group_name_H-M 'P -4 3 m'
_symmetry_Int_Tables_number 215
_symmetry_space_group_name_Hall 'P -4 2 3'
loop_
_atom_site_label
_atom_site_type_symbol
_atom_site_fract_x
_atom_site_fract_y
_atom_site_fract_z
Cs1 Cs 0.000 0.000 0.000
Ag1 Ag 0.000 0.500 0.500
Te1 Te 0.276 0.276 0.276
Pb1 Pb 0.500 0.500 0.500
```

The 10 most intense peaks (2θ = 10–80°), low angle first:
12.32 deg, d = 7.185 Å, intensity 34, (1 0 0)
17.46 deg, d = 5.080 Å, intensity 24, (1 1 0)
21.42 deg, d = 4.148 Å, intensity 57, (1 1 1)
30.48 deg, d = 2.933 Å, intensity 16, (2 1 1)
35.33 deg, d = 2.540 Å, intensity 100, (2 2 0)
41.69 deg, d = 2.166 Å, intensity 25, (3 1 1)
45.52 deg, d = 1.993 Å, intensity 13, (3 2 0)
47.34 deg, d = 1.920 Å, intensity 12, (3 2 1)
50.83 deg, d = 1.796 Å, intensity 16, (4 0 0)
63.42 deg, d = 1.467 Å, intensity 30, (4 2 2)

***

Record 3
This entry pairs a crystal structure of Mg2Zn2SnPb with its computed PXRD pattern. Radiation: Cu Ka. Structure: a GGA-PBE-relaxed structure.

Structural model:
```
data_Mg2Zn2SnPb
_cell_length_a 11.303
_cell_length_b 4.624
_cell_length_c 11.308
_cell_angle_alpha 90.00
_cell_angle_beta 109.36
_cell_angle_gamma 90.00
_symmetry_space_group_name_H-M 'P 1 m 1'
_symmetry_Int_Tables_number 6
_symmetry_space_group_name_Hall 'P -2y'
loop_
_atom_site_label
_atom_site_type_symbol
_atom_site_fract_x
_atom_site_fract_y
_atom_site_fract_z
Mg1 Mg 0.000 0.000 0.000
Mg2 Mg 0.121 0.500 0.371
Mg3 Mg 0.251 0.000 0.746
Mg4 Mg 0.381 0.500 0.124
Mg5 Mg 0.506 0.000 0.504
Mg6 Mg 0.628 0.500 0.876
Mg7 Mg 0.749 0.000 0.249
Mg8 Mg 0.877 0.500 0.629
Zn1 Zn 0.121 0.500 0.618
Zn2 Zn 0.257 0.000 0.998
Zn3 Zn 0.376 0.500 0.375
Zn4 Zn 0.507 0.000 0.756
Zn5 Zn 0.629 0.500 0.121
Zn6 Zn 0.758 0.000 0.506
Zn7 Zn 0.873 0.500 0.877
Zn8 Zn 0.994 0.000 0.248
Sn1 Sn 0.001 0.000 0.498
Sn2 Sn 0.504 0.000 0.001
Sn3 Sn 0.753 0.000 0.752
Sn4 Sn 0.876 0.500 0.124
Pb1 Pb 0.127 0.500 0.874
Pb2 Pb 0.250 0.000 0.249
Pb3 Pb 0.377 0.500 0.626
Pb4 Pb 0.628 0.500 0.376
```

The 10 most intense peaks (2θ = 10–80°), low angle first:
23.59 deg, d = 3.772 Å, intensity 100, (1 1 1)
27.30 deg, d = 3.266 Å, intensity 30, (2 0 2)
38.98 deg, d = 2.310 Å, intensity 98, (0 2 0)
39.06 deg, d = 2.306 Å, intensity 20, (4 0 -4)
46.08 deg, d = 1.970 Å, intensity 53, (3 2 -1)
56.33 deg, d = 1.633 Å, intensity 20, (4 2 -4)
61.88 deg, d = 1.499 Å, intensity 15, (1 3 1)
70.60 deg, d = 1.334 Å, intensity 27, (4 3 0)
70.72 deg, d = 1.332 Å, intensity 13, (4 1 -8)
75.60 deg, d = 1.258 Å, intensity 11, (3 3 3)

***

Record 4
This entry pairs a crystal structure of KSnHg3S4 with its computed PXRD pattern. Radiation: Cu Ka. Structure: a GGA-PBE-relaxed structure.

Structural model:
```
data_KSnHg3S4
_cell_length_a 7.230
_cell_length_b 7.794
_cell_length_c 10.152
_cell_angle_alpha 90.00
_cell_angle_beta 106.52
_cell_angle_gamma 90.00
_symmetry_space_group_name_H-M 'P 1 21/m 1'
_symmetry_Int_Tables_number 11
_symmetry_space_group_name_Hall '-P 2yb'
loop_
_atom_site_label
_atom_site_type_symbol
_atom_site_fract_x
_atom_site_fract_y
_atom_site_fract_z
K1 K 0.233 0.250 0.128
Sn1 Sn 0.025 0.750 0.309
Hg1 Hg 0.262 0.528 0.520
Hg2 Hg 0.496 0.250 0.809
S1 S 0.156 0.750 0.109
S2 S 0.232 0.017 0.774
S3 S 0.418 0.250 0.450
```

The 10 most intense peaks (2θ = 10–80°), low angle first:
14.56 deg, d = 6.084 Å, intensity 100, (0 1 1)
22.25 deg, d = 3.995 Å, intensity 38, (1 1 -2)
24.64 deg, d = 3.614 Å, intensity 99, (0 2 1)
27.01 deg, d = 3.301 Å, intensity 41, (2 0 -2)
27.26 deg, d = 3.272 Å, intensity 31, (2 1 -1)
27.49 deg, d = 3.244 Å, intensity 43, (0 0 3)
29.36 deg, d = 3.042 Å, intensity 66, (0 2 2)
31.94 deg, d = 2.802 Å, intensity 32, (2 0 -3)
34.64 deg, d = 2.590 Å, intensity 84, (2 2 0)
35.81 deg, d = 2.508 Å, intensity 36, (2 0 2)

***

Record 5
This entry pairs a crystal structure of NaH3Au with its computed PXRD pattern. Radiation: Cu Ka. Structure: a GGA-PBE-relaxed structure.

Structural model:
```
data_NaH3Au
_cell_length_a 9.397
_cell_length_b 5.317
_cell_length_c 5.321
_cell_angle_alpha 90.00
_cell_angle_beta 124.38
_cell_angle_gamma 90.00
_symmetry_space_group_name_H-M 'C 1 2/m 1'
_symmetry_Int_Tables_number 12
_symmetry_space_group_name_Hall '-C 2y'
loop_
_atom_site_label
_atom_site_type_symbol
_atom_site_fract_x
_atom_site_fract_y
_atom_site_fract_z
Na1 Na 0.250 0.000 0.249
H1 H 0.000 0.232 0.268
H2 H 0.221 0.500 0.220
Au1 Au 0.000 0.000 0.500
Au2 Au 0.000 0.500 0.000
```

The 10 most intense peaks (2θ = 10–80°), low angle first:
22.93 deg, d = 3.878 Å, intensity 39, (2 0 0)
23.66 deg, d = 3.761 Å, intensity 72, (1 1 -1)
33.18 deg, d = 2.700 Å, intensity 100, (1 1 1)
33.70 deg, d = 2.659 Å, intensity 48, (0 2 0)
41.16 deg, d = 2.193 Å, intensity 33, (2 2 0)
48.40 deg, d = 1.880 Å, intensity 18, (2 2 -2)
53.15 deg, d = 1.723 Å, intensity 17, (3 1 1)
54.21 deg, d = 1.692 Å, intensity 16, (0 2 2)
54.56 deg, d = 1.682 Å, intensity 16, (3 1 -3)
59.95 deg, d = 1.543 Å, intensity 37, (1 3 1)

***

Record 6
This entry pairs a crystal structure of Nd4Si3Ge with its computed PXRD pattern. Radiation: Cu Ka. Structure: a GGA-PBE-relaxed structure.

Structural model:
```
data_Nd4Si3Ge
_cell_length_a 13.334
_cell_length_b 4.466
_cell_length_c 6.553
_cell_angle_alpha 90.00
_cell_angle_beta 90.24
_cell_angle_gamma 90.00
_symmetry_space_group_name_H-M 'C 1 m 1'
_symmetry_Int_Tables_number 8
_symmetry_space_group_name_Hall 'C -2y'
loop_
_atom_site_label
_atom_site_type_symbol
_atom_site_fract_x
_atom_site_fract_y
_atom_site_fract_z
Nd1 Nd 0.000 0.000 0.000
Nd2 Nd 0.051 0.500 0.506
Nd3 Nd 0.224 0.500 0.005
Nd4 Nd 0.324 0.500 0.505
Si1 Si 0.177 0.000 0.316
Si2 Si 0.181 0.000 0.694
Si3 Si 0.368 0.000 0.808
Ge1 Ge 0.371 0.000 0.197
```

The 10 most intense peaks (2θ = 10–80°), low angle first:
20.98 deg, d = 4.235 Å, intensity 16, (1 1 0)
25.03 deg, d = 3.557 Å, intensity 17, (1 1 -1)
27.22 deg, d = 3.276 Å, intensity 25, (0 0 2)
30.03 deg, d = 2.976 Å, intensity 13, (4 0 -1)
30.13 deg, d = 2.966 Å, intensity 19, (4 0 1)
31.51 deg, d = 2.839 Å, intensity 100, (3 1 -1)
34.62 deg, d = 2.591 Å, intensity 46, (1 1 2)
39.35 deg, d = 2.290 Å, intensity 12, (5 1 0)
40.40 deg, d = 2.233 Å, intensity 23, (0 2 0)
51.18 deg, d = 1.785 Å, intensity 14, (4 2 1)